For GdRuC2, a cell relaxed with GGA-PBE gives the calculated X-ray powder pattern in this record (Cu Kα (λ = 1.5418 Å)).

Structure:
Cell: 5.142 5.142 5.250 Å, 90.00 90.00 129.62°
Sites, in units of the cell vectors:
Gd 0.183 0.817 0.750
Gd 0.817 0.183 0.250
Ru 0.500 0.500 0.000
Ru 0.500 0.500 0.500
C 0.073 0.242 0.750
C 0.242 0.073 0.250
C 0.758 0.927 0.750
C 0.927 0.758 0.250

Top 8 peaks for 10 to 80 degrees two-theta, sorted by position:
2θ (°)	d (Å)	Rel. int.
25.6	3.482	31
28.2	3.162	100
35.5	2.531	95
39.4	2.286	44
41.3	2.188	92
42.5	2.127	27
58.4	1.581	31
65.0	1.434	27



For ZrAl5Cu7, a cell relaxed with GGA-PBE gives the calculated X-ray powder pattern in this record (Cu Kα (λ = 1.5418 Å)).

Structure:
Cell: 6.529 6.529 6.529 Å, 134.83 98.78 98.18°
Sites, in units of the cell vectors:
Zr 0.000 0.000 0.000
Al 0.199 0.699 0.500
Al 0.345 0.005 0.340
Al 0.346 0.346 0.000
Al 0.660 0.660 0.000
Al 0.665 0.005 0.660
Cu 0.003 0.001 0.501
Cu 0.003 0.502 0.002
Cu 0.220 0.499 0.720
Cu 0.500 0.001 0.998
Cu 0.500 0.502 0.499
Cu 0.779 0.499 0.280
Cu 0.782 0.282 0.500

Top 8 peaks for 10 to 80 degrees two-theta, sorted by position:
2θ (°)	d (Å)	Rel. int.
14.7	6.028	21
20.9	4.250	20
29.4	3.034	35
41.8	2.161	67
42.3	2.138	100
42.5	2.125	32
47.2	1.928	53
47.6	1.909	16



For Cu9Se8, a cell relaxed with GGA-PBE gives the calculated X-ray powder pattern in this record (Cu Kα (λ = 1.5418 Å)).

Structure:
Cell: 3.870 3.907 26.269 Å, 85.85 89.78 60.34°
Sites, in units of the cell vectors:
Cu 0.000 0.000 0.000
Cu 0.024 0.305 0.194
Cu 0.147 0.804 0.567
Cu 0.398 0.806 0.317
Cu 0.521 0.301 0.689
Cu 0.547 0.520 0.879
Cu 0.675 0.795 0.074
Cu 0.772 0.305 0.442
Cu 0.902 0.803 0.813
Se 0.057 0.424 0.286
Se 0.181 0.921 0.658
Se 0.334 0.398 0.036
Se 0.431 0.923 0.409
Se 0.560 0.419 0.782
Se 0.684 0.925 0.164
Se 0.806 0.422 0.534
Se 0.889 0.903 0.910

Top 8 peaks for 10 to 80 degrees two-theta, sorted by position:
2θ (°)	d (Å)	Rel. int.
26.6	3.350	100
27.2	3.273	64
28.1	3.176	69
30.7	2.911	54
40.1	2.248	72
45.9	1.977	48
47.0	1.934	48
47.5	1.913	44



For Cs2Te5, a cell relaxed with GGA-PBE gives the calculated X-ray powder pattern in this record (Cu Kα (λ = 1.5418 Å)).

Structure:
Cell: 7.918 7.918 10.357 Å, 90.00 90.00 104.32°
Sites, in units of the cell vectors:
Cs 0.070 0.930 0.750
Cs 0.292 0.708 0.250
Cs 0.708 0.292 0.750
Cs 0.930 0.070 0.250
Te 0.167 0.380 0.542
Te 0.167 0.380 0.958
Te 0.380 0.167 0.042
Te 0.380 0.167 0.458
Te 0.390 0.610 0.750
Te 0.610 0.390 0.250
Te 0.620 0.833 0.542
Te 0.620 0.833 0.958
Te 0.833 0.620 0.042
Te 0.833 0.620 0.458

Top 8 peaks for 10 to 80 degrees two-theta, sorted by position:
2θ (°)	d (Å)	Rel. int.
24.8	3.594	48
25.1	3.543	100
28.5	3.128	18
29.6	3.022	16
35.0	2.565	21
37.0	2.429	18
38.4	2.344	20
50.1	1.822	20



For In2Ag2GeSe6, a cell relaxed with GGA-PBE gives the calculated X-ray powder pattern in this record (Cu Kα (λ = 1.5418 Å)).

Structure:
Cell: 7.554 7.554 12.947 Å, 106.63 106.63 61.15°
Sites, in units of the cell vectors:
In 0.064 0.936 0.500
In 0.729 0.914 0.198
In 0.914 0.729 0.698
In 0.936 0.064 0.000
Ag 0.248 0.432 0.007
Ag 0.429 0.846 0.843
Ag 0.432 0.248 0.507
Ag 0.846 0.429 0.343
Ge 0.301 0.833 0.257
Ge 0.833 0.301 0.757
Se 0.068 0.587 0.514
Se 0.121 0.630 0.209
Se 0.131 0.156 0.200
Se 0.156 0.131 0.700
Se 0.178 0.717 0.886
Se 0.405 0.882 0.450
Se 0.587 0.068 0.014
Se 0.601 0.630 0.175
Se 0.630 0.121 0.709
Se 0.630 0.601 0.675
Se 0.717 0.178 0.386
Se 0.882 0.405 0.950

Top 8 peaks for 10 to 80 degrees two-theta, sorted by position:
2θ (°)	d (Å)	Rel. int.
24.3	3.665	56
24.7	3.606	90
27.4	3.252	60
27.8	3.207	79
28.7	3.110	100
29.1	3.067	53
40.9	2.204	59
43.6	2.074	86



For Sm6Br13, a cell relaxed with GGA-PBE gives the calculated X-ray powder pattern in this record (Cu Kα (λ = 1.5418 Å)).

Structure:
Cell: 21.823 21.823 7.332 Å, 97.72 97.72 19.36°
Sites, in units of the cell vectors:
Sm 0.004 0.596 0.676
Sm 0.085 0.656 0.455
Sm 0.199 0.722 0.915
Sm 0.278 0.801 0.585
Sm 0.344 0.915 0.045
Sm 0.404 0.996 0.824
Sm 0.596 0.004 0.176
Sm 0.656 0.085 0.955
Sm 0.722 0.199 0.415
Sm 0.801 0.278 0.085
Sm 0.915 0.344 0.545
Sm 0.996 0.404 0.324
Br 0.037 0.125 0.819
Br 0.051 0.273 0.929
Br 0.052 0.948 0.250
Br 0.125 0.037 0.319
Br 0.209 0.276 0.619
Br 0.271 0.365 0.402
Br 0.273 0.051 0.429
Br 0.276 0.209 0.119
Br 0.322 0.475 0.790
Br 0.340 0.598 0.544
Br 0.365 0.271 0.902
Br 0.402 0.660 0.956
Br 0.475 0.322 0.290
Br 0.525 0.678 0.710
Br 0.598 0.340 0.044
Br 0.635 0.729 0.098
Br 0.660 0.402 0.456
Br 0.678 0.525 0.210
Br 0.724 0.791 0.881
Br 0.727 0.949 0.571
Br 0.729 0.635 0.598
Br 0.791 0.724 0.381
Br 0.875 0.963 0.681
Br 0.948 0.052 0.750
Br 0.949 0.727 0.071
Br 0.963 0.875 0.181

Top 8 peaks for 10 to 80 degrees two-theta, sorted by position:
2θ (°)	d (Å)	Rel. int.
17.1	5.186	71
21.0	4.238	79
21.5	4.141	81
30.9	2.898	57
34.6	2.595	68
35.2	2.552	100
37.2	2.415	56
38.9	2.318	80



For NaZrCu3Se4, a cell relaxed with GGA-PBE gives the calculated X-ray powder pattern in this record (Cu Kα (λ = 1.5418 Å)).

Structure:
Cell: 6.035 6.035 6.035 Å, 90.00 90.00 90.00°
Sites, in units of the cell vectors:
Na 0.000 0.000 0.000
Zr 0.500 0.500 0.500
Cu 0.000 0.500 0.500
Cu 0.500 0.000 0.500
Cu 0.500 0.500 0.000
Se 0.260 0.260 0.740
Se 0.260 0.740 0.260
Se 0.740 0.260 0.260
Se 0.740 0.740 0.740

Top 8 peaks for 10 to 80 degrees two-theta, sorted by position:
2θ (°)	d (Å)	Rel. int.
14.7	6.035	45
25.6	3.484	77
33.2	2.699	14
42.4	2.134	100
50.1	1.820	34
61.5	1.509	16
67.7	1.385	13
77.5	1.232	30



For ZnGeAs2, a cell relaxed with GGA-PBE gives the calculated X-ray powder pattern in this record (Cu Kα (λ = 1.5418 Å)).

Structure:
Cell: 6.998 6.998 6.998 Å, 33.81 33.81 33.81°
Sites, in units of the cell vectors:
Zn 0.000 0.000 0.000
Ge 0.485 0.485 0.485
As 0.363 0.363 0.363
As 0.870 0.870 0.870

Top 8 peaks for 10 to 80 degrees two-theta, sorted by position:
2θ (°)	d (Å)	Rel. int.
26.9	3.320	100
27.1	3.296	32
44.5	2.035	51
44.8	2.024	45
52.8	1.735	15
52.9	1.732	29
53.1	1.725	12
65.0	1.435	15



For RbAg3S2, a cell relaxed with GGA-PBE gives the calculated X-ray powder pattern in this record (Cu Kα (λ = 1.5418 Å)).

Structure:
Cell: 9.430 9.430 9.961 Å, 116.75 116.75 26.69°
Sites, in units of the cell vectors:
Rb 0.146 0.146 0.189
Rb 0.854 0.854 0.811
Ag 0.053 0.053 0.773
Ag 0.091 0.091 0.491
Ag 0.364 0.364 0.274
Ag 0.636 0.636 0.726
Ag 0.909 0.909 0.509
Ag 0.947 0.947 0.227
S 0.204 0.204 0.751
S 0.473 0.473 0.725
S 0.527 0.527 0.275
S 0.796 0.796 0.249

Top 8 peaks for 10 to 80 degrees two-theta, sorted by position:
2θ (°)	d (Å)	Rel. int.
10.0	8.832	27
10.9	8.145	100
20.1	4.416	44
21.1	4.205	33
21.8	4.068	26
36.6	2.454	51
39.5	2.281	47
41.5	2.176	28



For KMg6Sn, a cell relaxed with GGA-PBE gives the calculated X-ray powder pattern in this record (Cu Kα (λ = 1.5418 Å)).

Structure:
Cell: 5.199 6.979 6.979 Å, 56.95 90.00 90.00°
Sites, in units of the cell vectors:
K 0.000 0.000 0.000
Mg 0.000 0.002 0.495
Mg 0.000 0.495 0.002
Mg 0.500 0.174 0.643
Mg 0.500 0.175 0.175
Mg 0.500 0.643 0.174
Mg 0.500 0.661 0.661
Sn 0.000 0.486 0.486

Top 8 peaks for 10 to 80 degrees two-theta, sorted by position:
2θ (°)	d (Å)	Rel. int.
14.4	6.134	29
15.1	5.850	35
17.1	5.199	22
22.4	3.966	26
30.6	2.925	29
33.9	2.642	49
34.5	2.600	33
35.2	2.549	100